This entry pairs a crystal structure of CaRhBr6 with its calculated powder diffraction line list. Radiation: CuKα. Structure: a structure optimized by DFT (GGA-PBE).

Cell and atoms:
```
data_CaRhBr6
_symmetry_space_group_name_H-M 'P 1'
_symmetry_Int_Tables_number 1
_cell_length_a 7.130
_cell_length_b 7.130
_cell_length_c 7.130
_cell_angle_alpha 56.11
_cell_angle_beta 56.11
_cell_angle_gamma 56.11
loop_
_symmetry_equiv_pos_as_xyz
'x,y,z'
loop_
_atom_site_label
_atom_site_type_symbol
_atom_site_fract_x
_atom_site_fract_y
_atom_site_fract_z
Ca1 Ca 0.000 0.000 0.000
Rh1 Rh 0.500 0.500 0.500
Br1 Br 0.097 0.712 0.455
Br2 Br 0.288 0.545 0.903
Br3 Br 0.455 0.097 0.712
Br4 Br 0.545 0.903 0.288
Br5 Br 0.712 0.455 0.097
Br6 Br 0.903 0.288 0.545
```

Peak list (6 most intense, 10 to 90 degrees two-theta, in order of falling intensity)
| 2θ/deg | d/Å | intensity |
| --- | --- | --- |
| 30.55 | 2.926 | 1000 |
| 40.39 | 2.233 | 422 |
| 46.93 | 1.936 | 283 |
| 16.04 | 5.527 | 232 |
| 53.42 | 1.715 | 212 |
| 18.19 | 4.877 | 209 |

---

This entry pairs a crystal structure of Ca4SbBr5 with its calculated powder diffraction line list. Radiation: CuKα. Structure: a structure optimized by DFT (GGA-PBE).

Cell and atoms:
```
data_Ca4SbBr5
_symmetry_space_group_name_H-M 'P 1'
_symmetry_Int_Tables_number 1
_cell_length_a 9.644
_cell_length_b 9.644
_cell_length_c 8.673
_cell_angle_alpha 104.33
_cell_angle_beta 104.33
_cell_angle_gamma 26.26
loop_
_symmetry_equiv_pos_as_xyz
'x,y,z'
loop_
_atom_site_label
_atom_site_type_symbol
_atom_site_fract_x
_atom_site_fract_y
_atom_site_fract_z
Ca1 Ca 0.003 0.003 0.248
Ca2 Ca 0.332 0.332 0.890
Ca3 Ca 0.668 0.668 0.110
Ca4 Ca 0.997 0.997 0.752
Sb1 Sb 0.500 0.500 0.000
Br1 Br 0.167 0.167 0.332
Br2 Br 0.170 0.170 0.866
Br3 Br 0.500 0.500 0.500
Br4 Br 0.830 0.830 0.134
Br5 Br 0.833 0.833 0.668
```

Peak list (6 most intense, 10 to 90 degrees two-theta, in order of falling intensity)
| 2θ/deg | d/Å | intensity |
| --- | --- | --- |
| 28.97 | 3.082 | 1000 |
| 29.50 | 3.028 | 498 |
| 25.09 | 3.550 | 397 |
| 41.45 | 2.178 | 374 |
| 42.20 | 2.142 | 336 |
| 10.55 | 8.389 | 212 |